Calculated PXRD pattern of Zr4Ni2H9 for a wavelength of 1.5418 Å, from a GGA-PBE-relaxed structure.

Principal peaks in the range 10 to 90 degrees two-theta, by angle:
two_theta, d [Å], intensity
31.23, 2.864, 19
33.20, 2.699, 100
33.31, 2.690, 54
36.41, 2.467, 20
36.54, 2.459, 19
41.09, 2.197, 37
41.72, 2.165, 17
41.84, 2.159, 25
41.97, 2.153, 16
56.78, 1.622, 18

Structural model:
a b c (Å): 5.616 5.630 8.880
angles (deg): 82.01 82.31 74.92
Atoms (fractional coordinates):
Zr1 0.166 0.496 0.338
Zr2 0.247 0.926 0.579
Zr3 0.249 0.602 0.920
Zr4 0.321 0.017 0.167
Zr5 0.679 0.983 0.833
Zr6 0.751 0.398 0.080
Zr7 0.753 0.074 0.421
Zr8 0.834 0.504 0.662
Ni1 0.150 0.149 0.849
Ni2 0.372 0.374 0.627
Ni3 0.628 0.626 0.373
Ni4 0.850 0.851 0.151
H1 0.002 0.748 0.502
H2 0.007 0.759 0.749
H3 0.121 0.290 0.003
H4 0.150 0.748 0.143
H5 0.336 0.771 0.364
H6 0.347 0.930 0.942
H7 0.372 0.384 0.123
H8 0.379 0.128 0.379
H9 0.423 0.600 0.701
H10 0.577 0.400 0.299
H11 0.621 0.872 0.621
H12 0.628 0.616 0.877
H13 0.653 0.070 0.058
H14 0.664 0.229 0.636
H15 0.850 0.252 0.857
H16 0.879 0.710 0.997
H17 0.993 0.241 0.251
H18 0.998 0.252 0.498

=====

Calculated PXRD pattern of ScAlNi for a wavelength of 1.5418 Å, from a GGA-PBE-relaxed structure.

Principal peaks in the range 10 to 90 degrees two-theta, by angle:
two_theta, d [Å], intensity
10.81, 8.186, 55
21.71, 4.093, 23
38.68, 2.328, 75
41.29, 2.187, 25
41.65, 2.168, 87
41.97, 2.153, 100
42.45, 2.130, 47
44.26, 2.047, 27
71.47, 1.320, 26
74.19, 1.278, 22

Structural model:
a b c (Å): 8.186 5.113 5.113
angles (deg): 60.78 90.00 90.00
Atoms (fractional coordinates):
Sc1 0.175 0.000 0.000
Sc2 0.297 0.664 0.664
Sc3 0.703 0.664 0.664
Sc4 0.825 0.000 0.000
Al1 0.236 0.325 0.325
Al2 0.500 0.163 0.675
Al3 0.500 0.675 0.163
Al4 0.764 0.325 0.325
Ni1 0.000 0.501 0.501
Ni2 0.000 0.505 0.986
Ni3 0.000 0.986 0.505
Ni4 0.500 0.164 0.164

=====

Calculated PXRD pattern of Cs3TiF6 for a wavelength of 1.5418 Å, from a GGA-PBE-relaxed structure.

Principal peaks in the range 10 to 90 degrees two-theta, by angle:
two_theta, d [Å], intensity
26.02, 3.424, 100
30.61, 2.920, 6
32.01, 2.796, 8
37.13, 2.421, 33
45.90, 1.977, 38
53.52, 1.712, 20
60.45, 1.531, 22
66.93, 1.398, 6
73.11, 1.294, 23
84.96, 1.141, 11

Structural model:
a b c (Å): 6.849 6.849 6.849
angles (deg): 60.00 60.00 60.00
Atoms (fractional coordinates):
Cs1 0.000 0.000 0.000
Cs2 0.250 0.250 0.250
Cs3 0.750 0.750 0.750
Ti1 0.500 0.500 0.500
F1 0.294 0.294 0.706
F2 0.294 0.706 0.294
F3 0.294 0.706 0.706
F4 0.706 0.294 0.294
F5 0.706 0.294 0.706
F6 0.706 0.706 0.294

=====

Calculated PXRD pattern of ErFe6Sn4Ge2 for a wavelength of 1.5418 Å, from a GGA-PBE-relaxed structure.

Principal peaks in the range 10 to 90 degrees two-theta, by angle:
two_theta, d [Å], intensity
33.89, 2.645, 100
36.65, 2.452, 85
39.34, 2.290, 45
39.88, 2.260, 86
41.48, 2.177, 22
44.71, 2.027, 47
46.45, 1.955, 22
62.46, 1.487, 37
71.32, 1.322, 32
74.58, 1.272, 35

Structural model:
a b c (Å): 5.290 5.290 8.708
angles (deg): 90.00 90.00 120.00
Atoms (fractional coordinates):
Er1 0.000 0.000 0.000
Fe1 0.000 0.500 0.232
Fe2 0.000 0.500 0.768
Fe3 0.500 0.000 0.232
Fe4 0.500 0.000 0.768
Fe5 0.500 0.500 0.232
Fe6 0.500 0.500 0.768
Sn1 0.000 0.000 0.336
Sn2 0.000 0.000 0.664
Sn3 0.333 0.667 0.500
Sn4 0.667 0.333 0.500
Ge1 0.333 0.667 0.000
Ge2 0.667 0.333 0.000

=====

Calculated PXRD pattern of TbDyHg2 for a wavelength of 1.5418 Å, from a GGA-PBE-relaxed structure.

Principal peaks in the range 10 to 90 degrees two-theta, by angle:
two_theta, d [Å], intensity
23.81, 3.737, 2
33.92, 2.642, 100
41.87, 2.158, 1
48.73, 1.869, 18
54.94, 1.671, 1
60.70, 1.526, 38
71.39, 1.321, 12
81.44, 1.182, 17

Structural model:
a b c (Å): 5.285 5.285 5.285
angles (deg): 60.00 60.00 60.00
Atoms (fractional coordinates):
Tb1 0.000 0.000 0.000
Dy1 0.500 0.500 0.500
Hg1 0.250 0.250 0.250
Hg2 0.750 0.750 0.750

=====

Calculated PXRD pattern of PaH3 for a wavelength of 1.5418 Å, from a GGA-PBE-relaxed structure.

Principal peaks in the range 10 to 90 degrees two-theta, by angle:
two_theta, d [Å], intensity
26.85, 3.321, 34
30.09, 2.970, 100
33.04, 2.711, 79
49.48, 1.842, 27
51.48, 1.775, 48
55.33, 1.660, 19
62.54, 1.485, 13
64.27, 1.449, 24
77.38, 1.233, 22
78.95, 1.213, 14

Structural model:
a b c (Å): 6.642 6.642 6.642
angles (deg): 90.00 90.00 90.00
Atoms (fractional coordinates):
Pa1 0.000 0.000 0.000
Pa2 0.000 0.250 0.500
Pa3 0.000 0.750 0.500
Pa4 0.250 0.500 0.000
Pa5 0.500 0.000 0.250
Pa6 0.500 0.000 0.750
Pa7 0.500 0.500 0.500
Pa8 0.750 0.500 0.000
H1 0.000 0.305 0.155
H2 0.000 0.305 0.845
H3 0.000 0.695 0.155
H4 0.000 0.695 0.845
H5 0.155 0.000 0.305
H6 0.155 0.000 0.695
H7 0.195 0.500 0.345
H8 0.195 0.500 0.655
H9 0.305 0.155 0.000
H10 0.305 0.845 0.000
H11 0.345 0.195 0.500
H12 0.345 0.805 0.500
H13 0.500 0.345 0.195
H14 0.500 0.345 0.805
H15 0.500 0.655 0.195
H16 0.500 0.655 0.805
H17 0.655 0.195 0.500
H18 0.655 0.805 0.500
H19 0.695 0.155 0.000
H20 0.695 0.845 0.000
H21 0.805 0.500 0.345
H22 0.805 0.500 0.655
H23 0.845 0.000 0.305
H24 0.845 0.000 0.695

=====

Calculated PXRD pattern of ErCoGe2 for a wavelength of 1.5418 Å, from a GGA-PBE-relaxed structure.

Principal peaks in the range 10 to 90 degrees two-theta, by angle:
two_theta, d [Å], intensity
31.09, 2.877, 22
34.79, 2.579, 100
34.94, 2.568, 37
39.32, 2.291, 29
43.48, 2.081, 28
44.16, 2.051, 27
56.95, 1.617, 18
60.60, 1.528, 16
63.71, 1.461, 17
75.19, 1.264, 15

Structural model:
a b c (Å): 8.485 8.485 4.163
angles (deg): 90.00 90.00 152.03
Atoms (fractional coordinates):
Er1 0.108 0.892 0.750
Er2 0.892 0.108 0.250
Co1 0.319 0.681 0.750
Co2 0.681 0.319 0.250
Ge1 0.251 0.749 0.250
Ge2 0.455 0.545 0.750
Ge3 0.545 0.455 0.250
Ge4 0.749 0.251 0.750

=====

Calculated PXRD pattern of I for a wavelength of 1.5418 Å, from a GGA-PBE-relaxed structure.

Principal peaks in the range 10 to 90 degrees two-theta, by angle:
two_theta, d [Å], intensity
30.50, 2.931, 100
43.68, 2.072, 18
54.21, 1.692, 39
63.49, 1.465, 12
72.06, 1.311, 16
80.24, 1.196, 4
88.21, 1.108, 20

Structural model:
a b c (Å): 3.589 3.589 3.589
angles (deg): 109.47 109.47 109.47
Atoms (fractional coordinates):
I1 0.000 0.000 0.000

=====

Calculated PXRD pattern of Rb2AsAuF6 for a wavelength of 1.5418 Å, from a GGA-PBE-relaxed structure.

Principal peaks in the range 10 to 90 degrees two-theta, by angle:
two_theta, d [Å], intensity
16.85, 5.262, 12
19.48, 4.557, 14
27.69, 3.222, 100
32.59, 2.748, 12
39.56, 2.278, 35
43.27, 2.091, 8
48.96, 1.860, 41
57.18, 1.611, 22
64.69, 1.441, 20
78.55, 1.218, 23

Structural model:
a b c (Å): 6.444 6.444 6.444
angles (deg): 60.00 60.00 60.00
Atoms (fractional coordinates):
Rb1 0.250 0.250 0.250
Rb2 0.750 0.750 0.750
As1 0.000 0.000 0.000
Au1 0.500 0.500 0.500
F1 0.226 0.226 0.774
F2 0.226 0.774 0.226
F3 0.226 0.774 0.774
F4 0.774 0.226 0.226
F5 0.774 0.226 0.774
F6 0.774 0.774 0.226